LiFe2OF3: calculated X-ray powder pattern (Cu Kα X-rays), based on a structure optimized by DFT (GGA+U).
Neutral-atom scattering factors, no anomalous dispersion.

Lattice parameters (Å, degrees): 6.3823 6.3823 8.0959 90.00 90.00 90.00
Space group P4_3 (No. 78)
One atom of each set of equivalent atoms:
Li1 0.0071 0.2457 0.0000 (multiplicity 4)
Fe1 0.2460 0.7249 0.9096 (multiplicity 4)
Fe2 0.2503 0.4992 0.2396 (multiplicity 4)
O1 0.2536 0.4417 0.9845 (multiplicity 4)
F1 0.0188 0.7640 0.2387 (multiplicity 4)
F2 0.0283 0.2525 0.2576 (multiplicity 4)
F3 0.2333 0.5185 0.5092 (multiplicity 4)

The 8 most intense peaks (15 to 90 degrees two-theta), by intensity:
d [Å]	I_rel
2.692	1000
2.486	647
3.013	528
1.507	463
1.729	447
3.942	436
3.191	369
1.596	342